This entry pairs a crystal structure of La6FeSn2 with its simulated PXRD pattern. Radiation: Cu Kα (λ = 1.5418 Å). Structure: a GGA-PBE-relaxed structure.

Cell and atoms:
```
data_La6FeSn2
_symmetry_space_group_name_H-M 'I 4/m m m'
_symmetry_Int_Tables_number 139
_symmetry_space_group_name_Hall '-I 4 2'
_cell_length_a 7.321
_cell_length_b 7.321
_cell_length_c 10.369
_cell_angle_alpha 90.00
_cell_angle_beta 90.00
_cell_angle_gamma 90.00
loop_
_atom_site_label
_atom_site_type_symbol
_atom_site_fract_x
_atom_site_fract_y
_atom_site_fract_z
_atom_site_occupancy
La1 La 0.000 0.000 0.249 1
La2 La 0.246 0.246 0.500 1
Fe1 Fe 0.000 0.000 0.000 1
Sn1 Sn 0.000 0.500 0.250 1
```

The 10 most intense peaks (2θ = 10–90°), by angle:
(hkl)	2theta	intensity
1 1 0	17.12	2.6
2 0 2	29.88	100.0
0 0 4	34.64	63.5
2 2 4	49.79	45.3
2 0 6	59.16	43.7
4 0 4	62.08	15.5
4 4 0	73.12	4.8
4 2 6	80.90	18.0
2 2 8	83.44	13.7
6 2 0	83.51	6.8